# 1
# Ho5GeP4
Computed powder diffraction line list, copper Kα. Input: a structure optimized by DFT (GGA-PBE).

Peak list (10 most intense, 15° ≤ 2θ ≤ 90°, most intense first)
| 2θ (°) | d_spacing | I_rel |
| --- | --- | --- |
| 31.55 | 2.836 | 100 |
| 45.22 | 2.005 | 73 |
| 27.23 | 3.275 | 71 |
| 53.59 | 1.710 | 34 |
| 74.87 | 1.268 | 32 |
| 56.18 | 1.637 | 25 |
| 83.50 | 1.158 | 24 |
| 72.66 | 1.301 | 13 |
| 65.87 | 1.418 | 12 |
| 89.86 | 1.092 | 11 |

Structural model:
```
data_Ho5GeP4
_cell_length_a 6.947
_cell_length_b 6.947
_cell_length_c 6.947
_cell_angle_alpha 99.58
_cell_angle_beta 99.58
_cell_angle_gamma 131.84
_symmetry_space_group_name_H-M 'P 1'
_symmetry_Int_Tables_number 1
_symmetry_space_group_name_Hall 'P 1'
loop_
_atom_site_label
_atom_site_fract_x
_atom_site_fract_y
_atom_site_fract_z
Ho1 0.000 0.000 0.000
Ho2 0.193 0.604 0.796
Ho3 0.396 0.193 0.589
Ho4 0.604 0.807 0.411
Ho5 0.807 0.396 0.204
Ge1 0.500 0.500 0.000
P1 0.101 0.300 0.401
P2 0.300 0.899 0.200
P3 0.700 0.101 0.800
P4 0.899 0.700 0.599
```



# 2
# HoGe2P2Pt7
Computed powder diffraction line list, copper Kα. Input: a structure optimized by DFT (GGA-PBE).

Peak list (10 most intense, 15° ≤ 2θ ≤ 90°, most intense first)
| 2θ (°) | d_spacing | I_rel |
| --- | --- | --- |
| 46.65 | 1.947 | 100 |
| 37.47 | 2.400 | 88 |
| 37.15 | 2.420 | 47 |
| 37.32 | 2.409 | 43 |
| 34.87 | 2.573 | 42 |
| 30.03 | 2.975 | 41 |
| 44.93 | 2.018 | 40 |
| 42.54 | 2.125 | 36 |
| 72.26 | 1.308 | 32 |
| 23.93 | 3.719 | 30 |

Structural model:
```
data_HoGe2P2Pt7
_cell_length_a 3.894
_cell_length_b 3.894
_cell_length_c 15.117
_cell_angle_alpha 97.25
_cell_angle_beta 97.25
_cell_angle_gamma 89.54
_symmetry_space_group_name_H-M 'P 1'
_symmetry_Int_Tables_number 1
_symmetry_space_group_name_Hall 'P 1'
loop_
_atom_site_label
_atom_site_fract_x
_atom_site_fract_y
_atom_site_fract_z
Ho1 0.000 0.000 0.000
Ge1 0.240 0.240 0.431
Ge2 0.760 0.760 0.569
P1 0.383 0.383 0.759
P2 0.617 0.617 0.241
Pt1 0.073 0.573 0.150
Pt2 0.318 0.318 0.603
Pt3 0.427 0.927 0.850
Pt4 0.500 0.500 0.000
Pt5 0.573 0.073 0.150
Pt6 0.682 0.682 0.397
Pt7 0.927 0.427 0.850
```



# 3
# Ho8Ge3Te4P
Computed powder diffraction line list, copper Kα. Input: a structure optimized by DFT (GGA-PBE).

Peak list (10 most intense, 15° ≤ 2θ ≤ 90°, most intense first)
| 2θ (°) | d_spacing | I_rel |
| --- | --- | --- |
| 29.85 | 2.993 | 100 |
| 43.14 | 2.097 | 38 |
| 42.32 | 2.136 | 33 |
| 53.34 | 1.717 | 20 |
| 70.93 | 1.329 | 17 |
| 69.75 | 1.348 | 12 |
| 78.53 | 1.218 | 11 |
| 62.02 | 1.496 | 11 |
| 25.94 | 3.435 | 10 |
| 32.51 | 2.754 | 9 |

Structural model:
```
data_Ho8Ge3Te4P
_cell_length_a 8.546
_cell_length_b 8.546
_cell_length_c 8.546
_cell_angle_alpha 58.79
_cell_angle_beta 58.79
_cell_angle_gamma 58.79
_symmetry_space_group_name_H-M 'P 1'
_symmetry_Int_Tables_number 1
_symmetry_space_group_name_Hall 'P 1'
loop_
_atom_site_label
_atom_site_fract_x
_atom_site_fract_y
_atom_site_fract_z
Ho1 0.240 0.240 0.240
Ho2 0.240 0.738 0.738
Ho3 0.262 0.262 0.760
Ho4 0.262 0.760 0.262
Ho5 0.738 0.240 0.738
Ho6 0.738 0.738 0.240
Ho7 0.760 0.262 0.262
Ho8 0.760 0.760 0.760
Ge1 0.000 0.000 0.500
Ge2 0.000 0.500 0.000
Ge3 0.500 0.000 0.000
Te1 0.000 0.000 0.000
Te2 0.000 0.500 0.500
Te3 0.500 0.000 0.500
Te4 0.500 0.500 0.000
P1 0.500 0.500 0.500
```



# 4
# HoPa3Ge5
Computed powder diffraction line list, copper Kα. Input: a structure optimized by DFT (GGA-PBE).

Peak list (10 most intense, 15° ≤ 2θ ≤ 90°, most intense first)
| 2θ (°) | d_spacing | I_rel |
| --- | --- | --- |
| 36.53 | 2.460 | 100 |
| 35.59 | 2.523 | 94 |
| 34.80 | 2.578 | 59 |
| 25.29 | 3.522 | 59 |
| 45.84 | 1.980 | 37 |
| 23.51 | 3.784 | 26 |
| 73.95 | 1.282 | 23 |
| 51.92 | 1.761 | 23 |
| 67.33 | 1.391 | 22 |
| 64.53 | 1.444 | 20 |

Structural model:
```
data_HoPa3Ge5
_cell_length_a 8.739
_cell_length_b 8.739
_cell_length_c 5.952
_cell_angle_alpha 90.00
_cell_angle_beta 90.00
_cell_angle_gamma 120.00
_symmetry_space_group_name_H-M 'P 1'
_symmetry_Int_Tables_number 1
_symmetry_space_group_name_Hall 'P 1'
loop_
_atom_site_label
_atom_site_fract_x
_atom_site_fract_y
_atom_site_fract_z
Ho1 0.000 0.000 0.000
Ho2 0.000 0.000 0.500
Pa1 0.000 0.384 0.250
Pa2 0.000 0.616 0.750
Pa3 0.384 0.000 0.250
Pa4 0.384 0.384 0.750
Pa5 0.616 0.000 0.750
Pa6 0.616 0.616 0.250
Ge1 0.000 0.280 0.750
Ge2 0.000 0.720 0.250
Ge3 0.280 0.000 0.750
Ge4 0.280 0.280 0.250
Ge5 0.333 0.667 0.000
Ge6 0.333 0.667 0.500
Ge7 0.667 0.333 0.000
Ge8 0.667 0.333 0.500
Ge9 0.720 0.000 0.250
Ge10 0.720 0.720 0.750
```



# 5
# HoGe2Pb
Computed powder diffraction line list, copper Kα. Input: a structure optimized by DFT (GGA-PBE).

Peak list (10 most intense, 15° ≤ 2θ ≤ 90°, most intense first)
| 2θ (°) | d_spacing | I_rel |
| --- | --- | --- |
| 34.46 | 2.603 | 100 |
| 38.40 | 2.344 | 37 |
| 66.93 | 1.398 | 29 |
| 59.04 | 1.564 | 21 |
| 26.89 | 3.315 | 16 |
| 21.14 | 4.202 | 14 |
| 43.06 | 2.101 | 14 |
| 55.43 | 1.658 | 13 |
| 72.66 | 1.301 | 12 |
| 73.39 | 1.290 | 11 |

Structural model:
```
data_HoGe2Pb
_cell_length_a 4.688
_cell_length_b 4.688
_cell_length_c 4.202
_cell_angle_alpha 90.00
_cell_angle_beta 90.00
_cell_angle_gamma 90.00
_symmetry_space_group_name_H-M 'P 1'
_symmetry_Int_Tables_number 1
_symmetry_space_group_name_Hall 'P 1'
loop_
_atom_site_label
_atom_site_fract_x
_atom_site_fract_y
_atom_site_fract_z
Ho1 0.000 0.000 0.000
Ge1 0.000 0.500 0.500
Ge2 0.500 0.000 0.500
Pb1 0.500 0.500 0.000
```



# 6
# HoGe2Pd7Pb2
Computed powder diffraction line list, copper Kα. Input: a structure optimized by DFT (GGA-PBE).

Peak list (10 most intense, 15° ≤ 2θ ≤ 90°, most intense first)
| 2θ (°) | d_spacing | I_rel |
| --- | --- | --- |
| 35.41 | 2.535 | 100 |
| 36.73 | 2.447 | 87 |
| 44.42 | 2.039 | 83 |
| 31.85 | 2.810 | 75 |
| 34.23 | 2.620 | 57 |
| 45.20 | 2.006 | 46 |
| 27.60 | 3.232 | 35 |
| 44.61 | 2.031 | 32 |
| 31.15 | 2.871 | 31 |
| 31.95 | 2.801 | 29 |

Structural model:
```
data_HoGe2Pd7Pb2
_cell_length_a 4.083
_cell_length_b 4.083
_cell_length_c 14.176
_cell_angle_alpha 95.79
_cell_angle_beta 95.79
_cell_angle_gamma 89.37
_symmetry_space_group_name_H-M 'P 1'
_symmetry_Int_Tables_number 1
_symmetry_space_group_name_Hall 'P 1'
loop_
_atom_site_label
_atom_site_fract_x
_atom_site_fract_y
_atom_site_fract_z
Ho1 0.000 0.000 0.000
Ge1 0.413 0.413 0.748
Ge2 0.587 0.587 0.252
Pd1 0.052 0.552 0.150
Pd2 0.365 0.365 0.572
Pd3 0.448 0.948 0.850
Pd4 0.500 0.500 0.000
Pd5 0.552 0.052 0.150
Pd6 0.635 0.635 0.428
Pd7 0.948 0.448 0.850
Pb1 0.111 0.111 0.378
Pb2 0.889 0.889 0.622
```